Calculated powder X-ray diffraction pattern
Compound: CuBr3N2
Radiation: Cu Kα X-rays
Structure: a DFT-relaxed cell (PBE, Alexandria)
No peak broadening, texture or thermal motion is included.

Main lines, low angle first (10 to 80 degrees two-theta):
19.3°, rel. 40.9; 19.9°, rel. 58.9; 23.7°, rel. 95.7; 27.1°, rel. 66.1; 28.1°, rel. 100.0; 30.1°, rel. 94.6; 36.4°, rel. 78.5; 38.2°, rel. 61.3

```
CuBr3N2
1.0
3.588 0.000 0.000
-1.376 9.144 0.000
-0.729 -2.094 9.199
Cu Br N
2 6 4
direct
0.036 0.235 0.213 Cu
0.964 0.765 0.787 Cu
0.179 0.197 0.903 Br
0.249 0.460 0.742 Br
0.444 0.841 0.578 Br
0.556 0.159 0.422 Br
0.751 0.540 0.258 Br
0.821 0.803 0.097 Br
0.149 0.252 0.722 N
0.466 0.781 0.762 N
0.534 0.219 0.238 N
0.851 0.748 0.278 N
```


Calculated powder X-ray diffraction pattern
Compound: CuBr4N2O2
Radiation: Cu Kα X-rays
Structure: a DFT-relaxed cell (PBE, Alexandria)
No peak broadening, texture or thermal motion is included.

Main lines, low angle first (10 to 80 degrees two-theta):
14.7°, rel. 100.0; 20.8°, rel. 61.5; 25.6°, rel. 27.7; 29.7°, rel. 45.5; 33.3°, rel. 28.7; 36.6°, rel. 18.4; 39.7°, rel. 34.6; 50.3°, rel. 38.4

```
CuBr4N2O2
1.0
-4.247 4.247 4.264
4.247 -4.247 4.264
4.247 4.247 -4.264
Cu Br N O
1 4 2 2
direct
0.000 0.000 0.000 Cu
0.190 0.190 0.380 Br
0.190 0.810 0.000 Br
0.810 0.190 0.000 Br
0.810 0.810 0.620 Br
0.250 0.750 0.500 N
0.750 0.250 0.500 N
0.428 0.428 0.000 O
0.572 0.572 0.000 O
```